No. 1
Diffraction record for TbPrEr2Tl2. The powder XRD pattern is theoretical, not measured: it uses a GGA-PBE-relaxed structure and Cu Ka.
No peak broadening, texture or thermal motion is included.

Cell and atoms:
Unit cell a=5.1374 b=10.0851 c=6.8131 alpha=90.00 beta=90.00 gamma=90.00
Fractional positions:
Tb  0.0000  0.1927  0.0000
Tb  0.0000  0.8073  0.5000
Pr  0.5000  0.0416  0.2743
Pr  0.5000  0.9584  0.7743
Er  0.0000  0.4574  0.3682
Er  0.0000  0.5426  0.8682
Er  0.5000  0.3189  0.6530
Er  0.5000  0.6811  0.1530
Tl  0.0000  0.1430  0.5369
Tl  0.0000  0.8570  0.0369
Tl  0.5000  0.3704  0.1149
Tl  0.5000  0.6296  0.6149

Peak list (10 most intense, 5 to 70 degrees two-theta, most intense first)
| 2θ (°) | intensity |
| --- | --- |
| 31.81 | 100 |
| 32.77 | 78 |
| 34.93 | 58 |
| 31.51 | 56 |
| 34.49 | 32 |
| 37.59 | 24 |
| 31.70 | 23 |
| 52.25 | 19 |
| 29.63 | 17 |
| 60.69 | 16 |

No. 2
Diffraction record for DyNi4P2. The powder XRD pattern is theoretical, not measured: it uses a GGA-PBE-relaxed structure and Cu Ka.
No peak broadening, texture or thermal motion is included.

Cell and atoms:
Unit cell a=7.0989 b=7.0989 c=3.6046 alpha=90.00 beta=90.00 gamma=90.00
Fractional positions:
Dy  0.0000  0.0000  0.0000
Dy  0.5000  0.5000  0.5000
Ni  0.0845  0.3361  0.5000
Ni  0.1639  0.5845  0.0000
Ni  0.3361  0.0845  0.5000
Ni  0.4155  0.8361  0.0000
Ni  0.5845  0.1639  0.0000
Ni  0.6639  0.9155  0.5000
Ni  0.8361  0.4155  0.0000
Ni  0.9155  0.6639  0.5000
P  0.2206  0.7794  0.5000
P  0.2794  0.2794  0.0000
P  0.7206  0.7206  0.0000
P  0.7794  0.2206  0.5000

Peak list (10 most intense, 5 to 70 degrees two-theta, most intense first)
| 2θ (°) | intensity |
| --- | --- |
| 37.76 | 100 |
| 40.17 | 46 |
| 43.96 | 21 |
| 47.73 | 21 |
| 66.53 | 20 |
| 50.65 | 18 |
| 27.76 | 18 |
| 59.50 | 13 |
| 25.09 | 11 |
| 35.78 | 10 |

No. 3
Diffraction record for PrYInRh. The powder XRD pattern is theoretical, not measured: it uses a GGA-PBE-relaxed structure and Cu Ka.
No peak broadening, texture or thermal motion is included.

Cell and atoms:
Unit cell a=5.2089 b=5.2089 c=5.2089 alpha=60.00 beta=60.00 gamma=60.00
Fractional positions:
Pr  0.0000  0.0000  0.0000
Y  0.5000  0.5000  0.5000
In  0.2500  0.2500  0.2500
Rh  0.7500  0.7500  0.7500

Peak list (7 most intense, 5 to 70 degrees two-theta, most intense first)
| 2θ (°) | intensity |
| --- | --- |
| 34.44 | 100 |
| 61.69 | 36 |
| 49.49 | 18 |
| 20.89 | 3 |
| 40.62 | 2 |
| 54.28 | 1 |
| 65.88 | 1 |

No. 4
Diffraction record for ErPaSb. The powder XRD pattern is theoretical, not measured: it uses a GGA-PBE-relaxed structure and Cu Ka.
No peak broadening, texture or thermal motion is included.

Cell and atoms:
Unit cell a=5.3268 b=5.3268 c=6.2161 alpha=90.00 beta=90.00 gamma=120.00
Fractional positions:
Er  0.3333  0.6667  0.2500
Er  0.6667  0.3333  0.7500
Pa  0.0000  0.0000  0.0000
Pa  0.0000  0.0000  0.5000
Sb  0.3333  0.6667  0.7500
Sb  0.6667  0.3333  0.2500

Peak list (10 most intense, 5 to 70 degrees two-theta, most intense first)
| 2θ (°) | intensity |
| --- | --- |
| 33.65 | 100 |
| 34.81 | 95 |
| 60.92 | 38 |
| 49.19 | 36 |
| 60.18 | 19 |
| 19.24 | 10 |
| 59.48 | 7 |
| 24.02 | 3 |
| 39.05 | 2 |
| 52.48 | 2 |

No. 5
Diffraction record for Pm4DyBi5. The powder XRD pattern is theoretical, not measured: it uses a GGA-PBE-relaxed structure and Cu Ka.
No peak broadening, texture or thermal motion is included.

Cell and atoms:
Unit cell a=16.4253 b=16.4253 c=16.4253 alpha=164.04 beta=164.04 gamma=22.64
Fractional positions:
Pm  0.0997  0.0997  0.0000
Pm  0.3006  0.3006  0.0000
Pm  0.6994  0.6994  0.0000
Pm  0.9003  0.9003  0.0000
Dy  0.5000  0.5000  0.0000
Bi  0.0000  0.0000  0.0000
Bi  0.2000  0.2000  0.0000
Bi  0.4014  0.4014  0.0000
Bi  0.5986  0.5986  0.0000
Bi  0.8000  0.8000  0.0000

Peak list (8 most intense, 5 to 70 degrees two-theta, most intense first)
| 2θ (°) | intensity |
| --- | --- |
| 27.68 | 100 |
| 39.54 | 79 |
| 64.66 | 38 |
| 48.95 | 29 |
| 57.16 | 14 |
| 23.91 | 5 |
| 46.74 | 3 |
| 62.84 | 1 |

No. 6
Diffraction record for AsBr3F6. The powder XRD pattern is theoretical, not measured: it uses a GGA-PBE-relaxed structure and Cu Ka.
No peak broadening, texture or thermal motion is included.

Cell and atoms:
Unit cell a=5.8363 b=7.8985 c=9.9556 alpha=88.15 beta=82.34 gamma=82.94
Fractional positions:
As  0.0703  0.2198  0.1960
As  0.9297  0.7802  0.8040
Br  0.3013  0.2218  0.5436
Br  0.3149  0.2045  0.7772
Br  0.4154  0.6132  0.1863
Br  0.5846  0.3868  0.8137
Br  0.6851  0.7955  0.2228
Br  0.6987  0.7782  0.4564
F  0.0404  0.0066  0.2504
F  0.1123  0.4358  0.1422
F  0.1250  0.7004  0.6643
F  0.1532  0.7772  0.9055
F  0.2809  0.1443  0.0591
F  0.3080  0.2195  0.2958
F  0.6920  0.7805  0.7042
F  0.7191  0.8557  0.9409
F  0.8468  0.2228  0.0945
F  0.8750  0.2996  0.3357
F  0.8877  0.5642  0.8578
F  0.9596  0.9934  0.7496

Peak list (10 most intense, 5 to 70 degrees two-theta, most intense first)
| 2θ (°) | intensity |
| --- | --- |
| 18.00 | 100 |
| 20.24 | 98 |
| 22.91 | 87 |
| 22.69 | 84 |
| 21.13 | 72 |
| 21.41 | 57 |
| 27.12 | 47 |
| 43.69 | 42 |
| 31.97 | 34 |
| 47.17 | 33 |